For NaLi14Al, a DFT-relaxed cell (GGA-PBE, Alexandria) gives the computed powder X-ray diffraction pattern in this record (Cu Kα X-rays).
No peak broadening, texture or thermal motion is included.

```
data_NaLi14Al
_chemical_formula_sum 'Na1 Li14 Al1'
_space_group_name_H-M_alt 'P 1'
_space_group_IT_number 1
_cell_length_a 6.1627
_cell_length_b 6.1627
_cell_length_c 8.3805
_cell_angle_alpha 90.00
_cell_angle_beta 90.00
_cell_angle_gamma 90.00
loop_
_space_group_symop_operation_xyz
'x,y,z'
loop_
_atom_site_label
_atom_site_fract_x
_atom_site_fract_y
_atom_site_fract_z
_atom_site_occupancy
Na1 0.0000 0.0000 0.0000 1
Li1 0.0000 0.0000 0.5000 1
Li2 0.0000 0.5000 0.0000 1
Li3 0.0000 0.5000 0.5000 1
Li4 0.2654 0.2654 0.2485 1
Li5 0.2654 0.2654 0.7515 1
Li6 0.2654 0.7346 0.2485 1
Li7 0.2654 0.7346 0.7515 1
Li8 0.5000 0.0000 0.0000 1
Li9 0.5000 0.0000 0.5000 1
Li10 0.5000 0.5000 0.5000 1
Li11 0.7346 0.2654 0.2485 1
Li12 0.7346 0.2654 0.7515 1
Li13 0.7346 0.7346 0.2485 1
Li14 0.7346 0.7346 0.7515 1
Al1 0.5000 0.5000 0.0000 1
```

Top 6 peaks for 15° ≤ 2θ ≤ 90°, in order of rising 2θ:
2theta	I (rel.)	hkl
20.4	26	1 1 0
23.0	39	1 1 1
36.2	100	2 0 2
41.4	34	2 2 0
61.4	21	2 2 4
72.2	23	4 2 2

For Gd3OsPb, a DFT-relaxed cell (GGA-PBE, Alexandria) gives the computed powder X-ray diffraction pattern in this record (Cu Kα X-rays).
No peak broadening, texture or thermal motion is included.

```
data_Gd3OsPb
_chemical_formula_sum 'Gd3 Os1 Pb1'
_space_group_name_H-M_alt 'P 1'
_space_group_IT_number 1
_cell_length_a 5.3905
_cell_length_b 5.3905
_cell_length_c 5.3905
_cell_angle_alpha 90.00
_cell_angle_beta 90.00
_cell_angle_gamma 90.00
loop_
_space_group_symop_operation_xyz
'x,y,z'
loop_
_atom_site_label
_atom_site_fract_x
_atom_site_fract_y
_atom_site_fract_z
_atom_site_occupancy
Gd1 0.0000 0.0000 0.5000 1
Gd2 0.0000 0.5000 0.0000 1
Gd3 0.5000 0.0000 0.0000 1
Os1 0.0000 0.0000 0.0000 1
Pb1 0.5000 0.5000 0.5000 1
```

Top 6 peaks for 15° ≤ 2θ ≤ 90°, in order of rising 2θ:
2theta	I (rel.)	hkl
23.3	36	1 1 0
28.7	62	1 1 1
33.2	100	2 0 0
47.7	74	2 2 0
56.6	28	3 1 1
79.5	34	4 2 0

> Which formula does entry 2 have?

Gd3OsPb